For CsCoPO4, a crystal structure in Alexandria, relaxed with PBE+U gives the theoretical powder XRD pattern in this record (CuKα).
Kinematic intensities with the Lorentz-polarization factor, no thermal factor.

Principal peaks in the range 10° ≤ 2θ ≤ 80°, sorted by position:
18.6 deg, I 11; 26.6 deg, I 68; 26.7 deg, I 100; 26.8 deg, I 20; 26.9 deg, I 20; 30.0 deg, I 16; 30.2 deg, I 19; 32.3 deg, I 31; 32.7 deg, I 29; 51.2 deg, I 13; 51.4 deg, I 11; 54.3 deg, I 19

Unit cell a=9.4415 b=5.5401 c=18.6948 alpha=90.00 beta=90.30 gamma=90.00
Positions (direct):
Cs (0.1897, 0.2218, 0.2503)
Cs (0.1897, 0.2782, 0.7503)
Cs (0.2950, 0.2427, 0.4966)
Cs (0.2950, 0.2573, 0.9966)
Cs (0.7050, 0.7427, 0.0034)
Cs (0.7050, 0.7573, 0.5034)
Cs (0.8103, 0.7218, 0.2497)
Cs (0.8103, 0.7782, 0.7497)
Co (0.0827, 0.7445, 0.5883)
Co (0.0827, 0.7555, 0.0883)
Co (0.4106, 0.7190, 0.3330)
Co (0.4106, 0.7810, 0.8330)
Co (0.5894, 0.2190, 0.1670)
Co (0.5894, 0.2810, 0.6670)
Co (0.9173, 0.2445, 0.9117)
Co (0.9173, 0.2555, 0.4117)
P (0.0828, 0.7461, 0.9034)
P (0.0828, 0.7539, 0.4034)
P (0.4063, 0.7205, 0.1541)
P (0.4063, 0.7795, 0.6541)
P (0.5937, 0.2205, 0.3459)
P (0.5937, 0.2795, 0.8459)
P (0.9172, 0.2461, 0.5966)
P (0.9172, 0.2539, 0.0966)
O (0.0113, 0.0456, 0.6317)
O (0.0113, 0.4544, 0.1317)
O (0.0397, 0.5068, 0.3692)
O (0.0397, 0.9932, 0.8692)
O (0.0573, 0.7487, 0.4844)
O (0.0573, 0.7513, 0.9844)
O (0.2409, 0.6917, 0.8881)
O (0.2409, 0.8083, 0.3881)
O (0.2874, 0.6941, 0.6021)
O (0.2874, 0.8059, 0.1021)
O (0.3518, 0.7421, 0.2322)
O (0.3518, 0.7579, 0.7322)
O (0.4431, 0.0470, 0.6362)
O (0.4431, 0.4530, 0.1362)
O (0.4605, 0.1185, 0.8578)
O (0.4605, 0.3815, 0.3578)
O (0.5395, 0.6185, 0.6422)
O (0.5395, 0.8815, 0.1422)
O (0.5569, 0.5470, 0.8638)
O (0.5569, 0.9530, 0.3638)
O (0.6482, 0.2421, 0.2678)
O (0.6482, 0.2579, 0.7678)
O (0.7126, 0.1941, 0.8979)
O (0.7126, 0.3059, 0.3979)
O (0.7591, 0.1917, 0.6119)
O (0.7591, 0.3083, 0.1119)
O (0.9427, 0.2487, 0.0156)
O (0.9427, 0.2513, 0.5156)
O (0.9603, 0.0068, 0.1308)
O (0.9603, 0.4932, 0.6308)
O (0.9887, 0.5456, 0.8683)
O (0.9887, 0.9544, 0.3683)